No. 1
Simulated powder X-ray diffraction pattern
Compound: CsTiBr3
Radiation: λ = 1.5418 Å (Cu Kα)
Structure: a DFT-relaxed cell (PBE, the Materials Project)
Neutral-atom scattering factors, no anomalous dispersion.

Atomic structure:
a b c (Å): 7.9350 7.9350 6.2243
angles (deg): 90.00 90.00 120.00
Space group P6_3/mmc (No. 194)
Symmetry-distinct sites (fractional):
Cs: 0.3333 0.6667 0.2500 [2 per cell]
Ti: 0.0000 0.0000 0.0000 [2 per cell]
Br: 0.1603 0.3206 0.7500 [6 per cell]

Most intense lines, 2θ = 10–90°, sorted by position:
- (2 0 0), 25.93°, intensity 13.1
- (0 0 2), 28.68°, intensity 18.7
- (2 0 1), 29.70°, intensity 100.0
- (2 0 2), 39.05°, intensity 24.5
- (2 2 0), 45.74°, intensity 25.2
- (2 0 3), 51.45°, intensity 20.8
- (2 2 2), 54.88°, intensity 17.3
- (4 0 1), 55.49°, intensity 16.1
- (4 2 1), 74.66°, intensity 13.1
- (2 2 4), 78.05°, intensity 10.1


No. 2
Simulated powder X-ray diffraction pattern
Compound: TiSi2
Radiation: λ = 1.5418 Å (Cu Kα)
Structure: a DFT-relaxed cell (PBE, the Materials Project)
Neutral-atom scattering factors, no anomalous dispersion.

Atomic structure:
a b c (Å): 4.8085 8.2605 8.5672
angles (deg): 90.00 90.00 90.00
Space group Fddd (No. 70, origin choice 2)
Symmetry-distinct sites (fractional):
Ti: 0.1250 0.1250 0.1250 [8 per cell]
Si: 0.1250 0.2883 0.6250 [16 per cell]

Most intense lines, 2θ = 10–90°, sorted by position:
- (1 3 1), 39.14°, intensity 100.0
- (0 0 4), 42.19°, intensity 39.9
- (2 0 2), 43.15°, intensity 74.4
- (1 3 3), 49.75°, intensity 47.6
- (1 3 5), 67.24°, intensity 18.5
- (3 3 1), 68.63°, intensity 17.4
- (0 6 2), 72.05°, intensity 14.9
- (3 3 3), 76.42°, intensity 12.7
- (2 0 6), 77.80°, intensity 12.1
- (2 6 0), 80.37°, intensity 11.0


No. 3
Simulated powder X-ray diffraction pattern
Compound: HfGeO2
Radiation: λ = 1.5418 Å (Cu Kα)
Structure: a DFT-relaxed cell (PBE, the Materials Project)
Neutral-atom scattering factors, no anomalous dispersion.

Atomic structure:
a b c (Å): 6.5264 6.5264 10.5805
angles (deg): 90.00 90.00 90.00
Space group I4_1/a (No. 88, origin choice 2)
Symmetry-distinct sites (fractional):
Hf: 0.0000 0.0000 0.0000 [8 per cell]
Ge: 0.0000 0.0000 0.5000 [8 per cell]
O: 0.0125 0.0372 0.2045 [16 per cell]

Most intense lines, 2θ = 10–90°, sorted by position:
- (1 0 1), 15.96°, intensity 37.6
- (2 0 2), 32.23°, intensity 100.0
- (0 0 4), 33.89°, intensity 30.6
- (2 2 0), 39.04°, intensity 46.4
- (2 2 4), 52.64°, intensity 34.2
- (4 0 0), 56.39°, intensity 15.1
- (2 0 6), 59.59°, intensity 22.4
- (4 2 2), 66.46°, intensity 27.6
- (4 0 4), 67.44°, intensity 15.9
- (4 2 6), 86.58°, intensity 15.9